1.
# Na6HgSb2
Calculated PXRD pattern, Cu Kα X-rays. Input: DFT lattice parameters and positions (PBE).
Lines closer than 0.1° are merged.

Most intense lines, 2θ = 10–90°, most intense first:
2θ = 20.61°, rel. 1000; 2θ = 20.35°, rel. 984; 2θ = 33.90°, rel. 956; 2θ = 39.33°, rel. 385; 2θ = 39.75°, rel. 362; 2θ = 23.48°, rel. 325; 2θ = 33.12°, rel. 269; 2θ = 33.77°, rel. 235

Atomic structure:
Cell: 9.1842 9.1842 9.1842 Å, 145.75 132.57 59.79°
Atoms (fractional coordinates):
Na1 0.0392 0.3152 0.7239
Na2 0.2157 0.0000 0.2157
Na3 0.4087 0.6848 0.7239
Na4 0.5913 0.3152 0.2761
Na5 0.7843 0.0000 0.7843
Na6 0.9608 0.6848 0.2761
Hg1 0.5000 0.5000 0.0000
Sb1 0.1644 0.1644 0.0000
Sb2 0.8356 0.8356 0.0000

---

2.
# Na5Hg6Sb
Calculated PXRD pattern, Cu Kα X-rays. Input: DFT lattice parameters and positions (PBE).
Lines closer than 0.1° are merged.

Most intense lines, 2θ = 10–90°, most intense first:
2θ = 33.13°, rel. 1000; 2θ = 25.82°, rel. 419; 2θ = 20.40°, rel. 352; 2θ = 35.96°, rel. 207; 2θ = 37.70°, rel. 179; 2θ = 62.86°, rel. 160; 2θ = 65.18°, rel. 140; 2θ = 53.09°, rel. 134

Atomic structure:
Cell: 8.7406 8.7406 4.9946 Å, 106.57 106.57 109.96°
Atoms (fractional coordinates):
Na1 0.0000 0.0000 0.0000
Na2 0.1708 0.8292 0.5000
Na3 0.3475 0.6525 0.0000
Na4 0.6525 0.3475 0.0000
Na5 0.8292 0.1708 0.5000
Hg1 0.0700 0.4091 0.2396
Hg2 0.2317 0.2317 0.7316
Hg3 0.4091 0.0700 0.2396
Hg4 0.5909 0.9300 0.7604
Hg5 0.7683 0.7683 0.2684
Hg6 0.9300 0.5909 0.7604
Sb1 0.5000 0.5000 0.5000